No. 1
Li9Mn2Co5O16: calculated powder XRD pattern (Cu Kα (λ = 1.5418 Å)), based on a PBE+U-relaxed structure.
Neutral-atom scattering factors, no anomalous dispersion.

Most intense lines, 2θ = 10–90°, sorted by position:
Position (°2θ)	I_rel	index
18.53	100	0 0 4
34.89	18	2 0 -2
36.37	25	1 1 1
42.29	31	2 0 -6
44.29	53	1 1 5
47.71	10	1 1 -7
62.61	15	3 1 -1
63.17	15	1 1 -11

Crystal structure
```
data_Li9Mn2Co5O16
_space_group_name_H-M_alt 'P 1 2/m 1'
_space_group_IT_number 10
_cell_length_a 5.2005
_cell_length_b 2.8728
_cell_length_c 19.2948
_cell_angle_alpha 90.00
_cell_angle_beta 96.94
_cell_angle_gamma 90.00
loop_
_space_group_symop_operation_xyz
'x,y,z'
'-x,-y,-z'
'-x,y,-z'
'x,-y,z'
loop_
_atom_site_label
_atom_site_type_symbol
_atom_site_fract_x
_atom_site_fract_y
_atom_site_fract_z
Li1 Li 0.0000 0.0000 0.0000
Li2 Li 0.1201 0.5000 0.8797
Li3 Li 0.1292 0.0000 0.3770
Li4 Li 0.3791 0.5000 0.6253
Li5 Li 0.3834 0.0000 0.1184
Mn1 Mn 0.2515 0.5000 0.2488
Co1 Co 0.0000 0.5000 0.5000
Co2 Co 0.2473 0.0000 0.7498
Co3 Co 0.5000 0.0000 0.5000
Co4 Co 0.5000 0.5000 0.0000
O1 O 0.0838 0.0000 0.1897
O2 O 0.0862 0.5000 0.6925
O3 O 0.1733 0.0000 0.5546
O4 O 0.2388 0.5000 0.0532
O5 O 0.3246 0.5000 0.4404
O6 O 0.3273 0.0000 0.9433
O7 O 0.4076 0.5000 0.8060
O8 O 0.4172 0.0000 0.3080
```

---

No. 2
Cs2VAgF6: calculated powder XRD pattern (Cu Kα (λ = 1.5418 Å)), based on a PBE+U-relaxed structure.
Neutral-atom scattering factors, no anomalous dispersion.

Most intense lines, 2θ = 10–90°, sorted by position:
Position (°2θ)	I_rel	index
28.18	100	2 2 0
34.69	11	2 2 2
40.27	35	4 0 0
49.87	38	4 2 2
58.27	21	4 4 0
65.95	19	6 2 0
73.20	7	4 4 4
80.19	21	6 4 2

Crystal structure
```
data_Cs2VAgF6
_space_group_name_H-M_alt 'F m -3 m'
_space_group_IT_number 225
_space_group_name_Hall '-F 4 2 3'
_cell_length_a 8.9577
_cell_length_b 8.9577
_cell_length_c 8.9577
_cell_angle_alpha 90.00
_cell_angle_beta 90.00
_cell_angle_gamma 90.00
loop_
_atom_site_label
_atom_site_type_symbol
_atom_site_fract_x
_atom_site_fract_y
_atom_site_fract_z
Cs1 Cs 0.2500 0.2500 0.2500
V1 V 0.0000 0.0000 0.0000
Ag1 Ag 0.0000 0.0000 0.5000
F1 F 0.0000 0.0000 0.2203
```